Tb3Ni6As5: simulated powder X-ray diffraction pattern (Cu Kα X-rays), based on DFT lattice parameters and positions (PBE).
Peak positions follow from Bragg's law for the DFT cell and can differ from measured ones.

Principal peaks in the range 2θ from 10° to 80°, by intensity:
2θ (°), d/Å, I/Imax
37.1, 2.422, 100
36.2, 2.483, 38
36.0, 2.493, 32
46.0, 1.975, 28
45.5, 1.995, 22
31.9, 2.807, 20
59.4, 1.555, 15
59.7, 1.548, 15
53.0, 1.727, 14
66.6, 1.404, 14

Cell and atoms:
Lattice parameters (Å, degrees): 3.9494 11.9720 9.5758 90.00 90.00 90.00
Atoms (fractional coordinates):
Tb (0.2500, 0.0851, 0.2492)
Tb (0.2500, 0.4149, 0.2492)
Tb (0.2500, 0.7500, 0.2507)
Tb (0.7500, 0.2500, 0.7493)
Tb (0.7500, 0.5851, 0.7508)
Tb (0.7500, 0.9149, 0.7508)
Ni (0.2500, 0.0681, 0.8896)
Ni (0.2500, 0.2500, 0.0106)
Ni (0.2500, 0.2500, 0.5049)
Ni (0.2500, 0.4319, 0.8896)
Ni (0.2500, 0.5804, 0.4972)
Ni (0.2500, 0.9196, 0.4972)
Ni (0.7500, 0.0804, 0.5028)
Ni (0.7500, 0.4196, 0.5028)
Ni (0.7500, 0.5681, 0.1104)
Ni (0.7500, 0.7500, 0.4951)
Ni (0.7500, 0.7500, 0.9894)
Ni (0.7500, 0.9319, 0.1104)
As (0.2500, 0.0824, 0.6437)
As (0.2500, 0.4176, 0.6437)
As (0.2500, 0.6201, 0.9831)
As (0.2500, 0.7500, 0.6350)
As (0.2500, 0.8799, 0.9831)
As (0.7500, 0.1201, 0.0169)
As (0.7500, 0.2500, 0.3650)
As (0.7500, 0.3799, 0.0169)
As (0.7500, 0.5824, 0.3563)
As (0.7500, 0.9176, 0.3563)



ScTiIn: simulated powder X-ray diffraction pattern (Cu Kα X-rays), based on DFT lattice parameters and positions (PBE).
Peak positions follow from Bragg's law for the DFT cell and can differ from measured ones.

Principal peaks in the range 2θ from 10° to 80°, by intensity:
2θ (°), d/Å, I/Imax
37.0, 2.428, 100
37.2, 2.417, 29
21.7, 4.090, 25
39.8, 2.263, 23
35.1, 2.559, 18
67.0, 1.397, 16
23.2, 3.839, 13
52.0, 1.757, 11
31.9, 2.807, 10
73.6, 1.287, 9

Cell and atoms:
Lattice parameters (Å, degrees): 3.3573 4.8335 7.8588 90.00 102.33 90.00
Atoms (fractional coordinates):
Sc (0.0751, 0.2500, 0.1496)
Sc (0.9249, 0.7500, 0.8504)
Ti (0.2626, 0.7500, 0.5254)
Ti (0.7374, 0.2500, 0.4746)
In (0.3913, 0.2500, 0.7829)
In (0.6087, 0.7500, 0.2171)



Tl2Te2S5: simulated powder X-ray diffraction pattern (Cu Kα X-rays), based on DFT lattice parameters and positions (PBE).
Peak positions follow from Bragg's law for the DFT cell and can differ from measured ones.

Principal peaks in the range 2θ from 10° to 80°, by intensity:
2θ (°), d/Å, I/Imax
33.7, 2.656, 100
23.1, 3.846, 87
24.0, 3.711, 72
26.7, 3.341, 57
11.4, 7.772, 57
33.8, 2.648, 54
25.3, 3.514, 48
29.5, 3.027, 42
48.5, 1.876, 39
29.7, 3.007, 32

Cell and atoms:
Lattice parameters (Å, degrees): 8.4591 8.4591 6.7860 103.83 103.83 36.64
Atoms (fractional coordinates):
Tl (0.0514, 0.0514, 0.2993)
Tl (0.9486, 0.9486, 0.7007)
Te (0.3437, 0.3437, 0.0809)
Te (0.6563, 0.6563, 0.9191)
S (0.1671, 0.1671, 0.9970)
S (0.3793, 0.3793, 0.4296)
S (0.5000, 0.5000, 0.0000)
S (0.6207, 0.6207, 0.5704)
S (0.8329, 0.8329, 0.0030)